[1]
Diffraction record for LiAlGe2O6. The powder X-ray diffraction pattern is theoretical, not measured: it uses a DFT-relaxed cell (GGA-PBE, the Materials Project) and Cu Kα (λ = 1.5418 Å).
Intensities are scaled so that the largest is 100.

Structural model:
```
data_LiAlGe2O6
_symmetry_space_group_name_H-M 'P 1'
_symmetry_Int_Tables_number 1
_cell_length_a 5.4588
_cell_length_b 8.4905
_cell_length_c 9.5963
_cell_angle_alpha 90.00
_cell_angle_beta 101.14
_cell_angle_gamma 90.00
loop_
_symmetry_equiv_pos_as_xyz
'x,y,z'
loop_
_atom_site_label
_atom_site_type_symbol
_atom_site_fract_x
_atom_site_fract_y
_atom_site_fract_z
Li1 Li 0.2048 0.2171 0.0080
Li2 Li 0.2048 0.2829 0.5080
Li3 Li 0.7952 0.7171 0.4920
Li4 Li 0.7952 0.7829 0.9920
Al1 Al 0.2503 0.5866 0.0046
Al2 Al 0.2503 0.9134 0.5046
Al3 Al 0.7497 0.0866 0.4954
Al4 Al 0.7497 0.4134 0.9954
Ge1 Ge 0.0689 0.5844 0.2906
Ge2 Ge 0.0689 0.9156 0.7906
Ge3 Ge 0.4460 0.6129 0.7207
Ge4 Ge 0.4460 0.8871 0.2207
Ge5 Ge 0.5540 0.1129 0.7793
Ge6 Ge 0.5540 0.3871 0.2793
Ge7 Ge 0.9311 0.0844 0.2094
Ge8 Ge 0.9311 0.4156 0.7094
O1 O 0.0432 0.0727 0.3972
O2 O 0.0432 0.4273 0.8972
O3 O 0.0891 0.7429 0.8892
O4 O 0.0891 0.7571 0.3892
O5 O 0.1985 0.0107 0.1407
O6 O 0.1985 0.4893 0.6407
O7 O 0.2907 0.0676 0.8569
O8 O 0.2907 0.4324 0.3569
O9 O 0.3823 0.6896 0.1744
O10 O 0.3823 0.8104 0.6744
O11 O 0.4644 0.0982 0.5901
O12 O 0.4644 0.4018 0.0901
O13 O 0.5356 0.5982 0.9099
O14 O 0.5356 0.9018 0.4099
O15 O 0.6177 0.1896 0.3256
O16 O 0.6177 0.3104 0.8256
O17 O 0.7093 0.5676 0.6431
O18 O 0.7093 0.9324 0.1431
O19 O 0.8015 0.5107 0.3593
O20 O 0.8015 0.9893 0.8593
O21 O 0.9109 0.2429 0.6108
O22 O 0.9109 0.2571 0.1108
O23 O 0.9568 0.5727 0.1028
O24 O 0.9568 0.9273 0.6028
```

Largest 10 diffraction maxima, sorted by position, 10° ≤ 2θ ≤ 90°:
2θ/deg	Rel. int.
18.85	54
19.60	23
20.93	20
27.34	54
29.53	100
30.36	39
35.21	34
36.94	23
46.31	19
56.00	23

***

[2]
Diffraction record for Li3AlGeO5. The powder X-ray diffraction pattern is theoretical, not measured: it uses a DFT-relaxed cell (GGA-PBE, the Materials Project) and Cu Kα (λ = 1.5418 Å).
Intensities are scaled so that the largest is 100.

Structural model:
```
data_Li3AlGeO5
_symmetry_space_group_name_H-M 'P 1'
_symmetry_Int_Tables_number 1
_cell_length_a 5.4552
_cell_length_b 16.0057
_cell_length_c 4.9496
_cell_angle_alpha 90.00
_cell_angle_beta 90.00
_cell_angle_gamma 90.00
loop_
_symmetry_equiv_pos_as_xyz
'x,y,z'
loop_
_atom_site_label
_atom_site_type_symbol
_atom_site_fract_x
_atom_site_fract_y
_atom_site_fract_z
Li1 Li 0.1619 0.0030 0.0000
Li2 Li 0.1640 0.1991 0.9979
Li3 Li 0.1789 0.5993 0.9979
Li4 Li 0.3211 0.0993 0.4979
Li5 Li 0.3360 0.6991 0.4979
Li6 Li 0.3381 0.5030 0.5000
Li7 Li 0.6619 0.4970 0.0000
Li8 Li 0.6640 0.3009 0.9979
Li9 Li 0.6789 0.9007 0.9979
Li10 Li 0.8211 0.4007 0.4979
Li11 Li 0.8360 0.8009 0.4979
Li12 Li 0.8381 0.9970 0.5000
Al1 Al 0.1756 0.7981 0.9974
Al2 Al 0.3244 0.2981 0.4974
Al3 Al 0.6756 0.7019 0.9974
Al4 Al 0.8244 0.2019 0.4974
Ge1 Ge 0.1606 0.4026 0.0024
Ge2 Ge 0.3394 0.9026 0.5024
Ge3 Ge 0.6606 0.0974 0.0024
Ge4 Ge 0.8394 0.5974 0.5024
O1 O 0.1370 0.2119 0.5912
O2 O 0.1463 0.6032 0.5983
O3 O 0.1836 0.9920 0.6022
O4 O 0.1859 0.8093 0.6353
O5 O 0.1889 0.3902 0.6383
O6 O 0.3111 0.8902 0.1383
O7 O 0.3141 0.3093 0.1353
O8 O 0.3164 0.4920 0.1022
O9 O 0.3537 0.1032 0.0983
O10 O 0.3630 0.7119 0.0912
O11 O 0.6370 0.2881 0.5912
O12 O 0.6463 0.8968 0.5983
O13 O 0.6836 0.5080 0.6022
O14 O 0.6859 0.6907 0.6353
O15 O 0.6889 0.1098 0.6383
O16 O 0.8111 0.6098 0.1383
O17 O 0.8141 0.1907 0.1353
O18 O 0.8164 0.0080 0.1022
O19 O 0.8537 0.3968 0.0983
O20 O 0.8630 0.7881 0.0912
```

Largest 10 diffraction maxima, sorted by position, 10° ≤ 2θ ≤ 90°:
2θ/deg	Rel. int.
19.70	100
24.53	89
24.92	40
26.75	34
32.43	49
32.84	23
36.30	42
37.29	30
58.36	28
65.96	22

***

[3]
Diffraction record for LuAl2Ge2. The powder X-ray diffraction pattern is theoretical, not measured: it uses a DFT-relaxed cell (GGA-PBE, the Materials Project) and Cu Kα (λ = 1.5418 Å).
Intensities are scaled so that the largest is 100.

Structural model:
```
data_LuAl2Ge2
_symmetry_space_group_name_H-M 'P 1'
_symmetry_Int_Tables_number 1
_cell_length_a 4.2826
_cell_length_b 4.2826
_cell_length_c 6.4448
_cell_angle_alpha 90.00
_cell_angle_beta 90.00
_cell_angle_gamma 120.00
loop_
_symmetry_equiv_pos_as_xyz
'x,y,z'
loop_
_atom_site_label
_atom_site_type_symbol
_atom_site_fract_x
_atom_site_fract_y
_atom_site_fract_z
Lu1 Lu 0.0000 0.0000 0.0000
Al1 Al 0.3333 0.6667 0.6506
Al2 Al 0.6667 0.3333 0.3494
Ge1 Ge 0.3333 0.6667 0.2515
Ge2 Ge 0.6667 0.3333 0.7485
```

Largest 10 diffraction maxima, sorted by position, 10° ≤ 2θ ≤ 90°:
2θ/deg	Rel. int.
13.74	36
27.75	100
36.95	72
42.20	52
49.00	20
51.26	19
57.32	20
61.11	13
68.50	15
73.70	19

***

[4]
Diffraction record for Mg16Al12Ge. The powder X-ray diffraction pattern is theoretical, not measured: it uses a DFT-relaxed cell (GGA-PBE, the Materials Project) and Cu Kα (λ = 1.5418 Å).
Intensities are scaled so that the largest is 100.

Structural model:
```
data_Mg16Al12Ge
_symmetry_space_group_name_H-M 'P 1'
_symmetry_Int_Tables_number 1
_cell_length_a 9.1002
_cell_length_b 9.1002
_cell_length_c 9.1002
_cell_angle_alpha 109.47
_cell_angle_beta 109.47
_cell_angle_gamma 109.47
loop_
_symmetry_equiv_pos_as_xyz
'x,y,z'
loop_
_atom_site_label
_atom_site_type_symbol
_atom_site_fract_x
_atom_site_fract_y
_atom_site_fract_z
Mg1 Mg 0.0000 0.0000 0.3338
Mg2 Mg 0.0000 0.3135 0.5983
Mg3 Mg 0.0000 0.3338 0.0000
Mg4 Mg 0.0000 0.5983 0.3135
Mg5 Mg 0.2848 0.6865 0.6865
Mg6 Mg 0.3135 0.0000 0.5983
Mg7 Mg 0.3135 0.5983 0.0000
Mg8 Mg 0.3338 0.0000 0.0000
Mg9 Mg 0.4017 0.4017 0.7152
Mg10 Mg 0.4017 0.7152 0.4017
Mg11 Mg 0.5983 0.0000 0.3135
Mg12 Mg 0.5983 0.3135 0.0000
Mg13 Mg 0.6662 0.6662 0.6662
Mg14 Mg 0.6865 0.2848 0.6865
Mg15 Mg 0.6865 0.6865 0.2848
Mg16 Mg 0.7152 0.4017 0.4017
Al1 Al 0.0000 0.6300 0.8133
Al2 Al 0.0000 0.8133 0.6300
Al3 Al 0.1832 0.3700 0.3700
Al4 Al 0.1867 0.1867 0.8168
Al5 Al 0.1867 0.8168 0.1867
Al6 Al 0.3700 0.1832 0.3700
Al7 Al 0.3700 0.3700 0.1832
Al8 Al 0.6300 0.0000 0.8133
Al9 Al 0.6300 0.8133 0.0000
Al10 Al 0.8133 0.0000 0.6300
Al11 Al 0.8133 0.6300 0.0000
Al12 Al 0.8168 0.1867 0.1867
Ge1 Ge 0.0000 0.0000 0.0000
```

Largest 10 diffraction maxima, sorted by position, 10° ≤ 2θ ≤ 90°:
2θ/deg	Rel. int.
11.91	14
31.87	9
36.27	100
40.26	25
42.13	13
43.94	11
62.50	11
65.25	26
77.00	7
78.26	6

***

[5]
Diffraction record for Mg16Al12Ge. The powder X-ray diffraction pattern is theoretical, not measured: it uses a DFT-relaxed cell (GGA-PBE, the Materials Project) and Cu Kα (λ = 1.5418 Å).
Intensities are scaled so that the largest is 100.

Structural model:
```
data_Mg16Al12Ge
_symmetry_space_group_name_H-M 'P 1'
_symmetry_Int_Tables_number 1
_cell_length_a 9.0902
_cell_length_b 9.0902
_cell_length_c 9.0902
_cell_angle_alpha 109.31
_cell_angle_beta 109.31
_cell_angle_gamma 109.31
loop_
_symmetry_equiv_pos_as_xyz
'x,y,z'
loop_
_atom_site_label
_atom_site_type_symbol
_atom_site_fract_x
_atom_site_fract_y
_atom_site_fract_z
Mg1 Mg 0.0000 0.0000 0.0000
Mg2 Mg 0.2807 0.6806 0.6806
Mg3 Mg 0.3142 0.5934 0.9959
Mg4 Mg 0.3142 0.9959 0.5934
Mg5 Mg 0.3433 0.9955 0.9955
Mg6 Mg 0.4064 0.4064 0.7033
Mg7 Mg 0.4064 0.7033 0.4064
Mg8 Mg 0.5934 0.3142 0.9959
Mg9 Mg 0.5934 0.9959 0.3142
Mg10 Mg 0.6806 0.2807 0.6806
Mg11 Mg 0.6806 0.6806 0.2807
Mg12 Mg 0.7033 0.4064 0.4064
Mg13 Mg 0.9955 0.3433 0.9955
Mg14 Mg 0.9955 0.9955 0.3433
Mg15 Mg 0.9959 0.3142 0.5934
Mg16 Mg 0.9959 0.5934 0.3142
Al1 Al 0.0001 0.6291 0.8136
Al2 Al 0.0001 0.8136 0.6291
Al3 Al 0.1676 0.3556 0.3556
Al4 Al 0.1831 0.1831 0.8073
Al5 Al 0.1831 0.8073 0.1831
Al6 Al 0.3556 0.1676 0.3556
Al7 Al 0.3556 0.3556 0.1676
Al8 Al 0.6291 0.0001 0.8136
Al9 Al 0.6291 0.8136 0.0001
Al10 Al 0.8073 0.1831 0.1831
Al11 Al 0.8136 0.0001 0.6291
Al12 Al 0.8136 0.6291 0.0001
Ge1 Ge 0.6885 0.6885 0.6885
```

Largest 10 diffraction maxima, sorted by position, 10° ≤ 2θ ≤ 90°:
2θ/deg	Rel. int.
11.91	17
34.10	16
36.13	49
36.30	100
40.30	36
41.88	8
42.18	11
44.00	11
65.15	11
65.29	13

***

[6]
Diffraction record for YMgAlGe2. The powder X-ray diffraction pattern is theoretical, not measured: it uses a DFT-relaxed cell (GGA-PBE, the Materials Project) and Cu Kα (λ = 1.5418 Å).
Intensities are scaled so that the largest is 100.

Structural model:
```
data_YMgAlGe2
_symmetry_space_group_name_H-M 'P 1'
_symmetry_Int_Tables_number 1
_cell_length_a 4.3114
_cell_length_b 4.3114
_cell_length_c 6.8835
_cell_angle_alpha 90.00
_cell_angle_beta 90.00
_cell_angle_gamma 120.00
loop_
_symmetry_equiv_pos_as_xyz
'x,y,z'
loop_
_atom_site_label
_atom_site_type_symbol
_atom_site_fract_x
_atom_site_fract_y
_atom_site_fract_z
Y1 Y 0.0000 0.0000 0.0000
Mg1 Mg 0.6667 0.3333 0.3550
Al1 Al 0.3333 0.6667 0.6238
Ge1 Ge 0.3333 0.6667 0.2385
Ge2 Ge 0.6667 0.3333 0.7534
```

Largest 10 diffraction maxima, sorted by position, 10° ≤ 2θ ≤ 90°:
2θ/deg	Rel. int.
12.86	18
27.17	100
35.47	77
41.91	65
46.45	34
50.66	17
56.04	20
67.79	14
72.37	18
79.78	13

***

[7]
Diffraction record for AlGeMo. The powder X-ray diffraction pattern is theoretical, not measured: it uses a DFT-relaxed cell (GGA-PBE, the Materials Project) and Cu Kα (λ = 1.5418 Å).
Intensities are scaled so that the largest is 100.

Structural model:
```
data_AlGeMo
_symmetry_space_group_name_H-M 'P 1'
_symmetry_Int_Tables_number 1
_cell_length_a 4.8496
_cell_length_b 4.8496
_cell_length_c 6.7315
_cell_angle_alpha 90.00
_cell_angle_beta 90.00
_cell_angle_gamma 120.00
loop_
_symmetry_equiv_pos_as_xyz
'x,y,z'
loop_
_atom_site_label
_atom_site_type_symbol
_atom_site_fract_x
_atom_site_fract_y
_atom_site_fract_z
Al1 Al 0.1682 0.3364 0.3333
Al2 Al 0.1682 0.8318 0.6667
Al3 Al 0.6636 0.8318 0.0000
Ge1 Ge 0.0042 0.5021 0.0000
Ge2 Ge 0.4979 0.5021 0.6667
Ge3 Ge 0.4979 0.9958 0.3333
Mo1 Mo 0.3359 0.1679 0.0000
Mo2 Mo 0.8321 0.1679 0.6667
Mo3 Mo 0.8321 0.6641 0.3333
```

Largest 10 diffraction maxima, sorted by position, 10° ≤ 2θ ≤ 90°:
2θ/deg	Rel. int.
24.99	33
34.14	15
37.08	15
39.50	100
40.19	36
46.14	63
67.78	20
68.45	19
73.23	16
78.97	14

***

[8]
Diffraction record for Na2AlGe2. The powder X-ray diffraction pattern is theoretical, not measured: it uses a DFT-relaxed cell (GGA-PBE, the Materials Project) and Cu Kα (λ = 1.5418 Å).
Intensities are scaled so that the largest is 100.

Structural model:
```
data_Na2AlGe2
_symmetry_space_group_name_H-M 'P 1'
_symmetry_Int_Tables_number 1
_cell_length_a 2.9001
_cell_length_b 2.9001
_cell_length_c 14.1303
_cell_angle_alpha 90.00
_cell_angle_beta 90.00
_cell_angle_gamma 90.00
loop_
_symmetry_equiv_pos_as_xyz
'x,y,z'
loop_
_atom_site_label
_atom_site_type_symbol
_atom_site_fract_x
_atom_site_fract_y
_atom_site_fract_z
Na1 Na 0.0000 0.0000 0.1105
Na2 Na 0.0000 0.0000 0.8895
Al1 Al 0.0000 0.0000 0.5000
Ge1 Ge 0.0000 0.0000 0.3170
Ge2 Ge 0.0000 0.0000 0.6830
```

Largest 10 diffraction maxima, sorted by position, 10° ≤ 2θ ≤ 90°:
2θ/deg	Rel. int.
12.53	32
18.84	27
30.83	100
31.66	37
36.38	21
44.16	36
44.78	56
49.88	15
55.35	29
81.69	18